AlFeRe2: theoretical X-ray powder pattern (copper Kα), based on DFT lattice parameters and positions (PBE).
Neutral-atom scattering factors, no anomalous dispersion.

Structural model:
a = 6.0010 Å, b = 6.0010 Å, c = 6.0010 Å
α = 90.00°, β = 90.00°, γ = 90.00°
Fractional coordinates of all 16 atoms:
Al1 0.0000 0.0000 0.0000
Al2 0.0000 0.5000 0.5000
Al3 0.5000 0.0000 0.5000
Al4 0.5000 0.5000 0.0000
Fe1 0.2500 0.2500 0.2500
Fe2 0.2500 0.7500 0.7500
Fe3 0.7500 0.2500 0.7500
Fe4 0.7500 0.7500 0.2500
Re1 0.0000 0.0000 0.5000
Re2 0.0000 0.5000 0.0000
Re3 0.2500 0.2500 0.7500
Re4 0.2500 0.7500 0.2500
Re5 0.5000 0.0000 0.0000
Re6 0.5000 0.5000 0.5000
Re7 0.7500 0.2500 0.2500
Re8 0.7500 0.7500 0.7500

Top 8 peaks for 10° ≤ 2θ ≤ 90°, in order of rising 2θ:
d (Å)	I (rel.)
3.465	49
3.000	1
2.122	100
1.809	25
1.500	17
1.377	10
1.225	34
1.155	8